Structure and calculated XRD peak list of DyTl4Br7 (a cell relaxed with PBE; Cu Ka).
Neutral-atom scattering factors, no anomalous dispersion.

Structure:
```
data_DyTl4Br7
_cell_length_a 22.2895
_cell_length_b 5.5138
_cell_length_c 7.9473
_cell_angle_alpha 90.00
_cell_angle_beta 107.68
_cell_angle_gamma 90.00
_space_group_name_H-M_alt 'C 1 2/m 1'
_space_group_IT_number 12
loop_
_space_group_symop_operation_xyz
'x,y,z'
'-x,-y,-z'
'-x,y,-z'
'x,-y,z'
'x+1/2,y+1/2,z'
'-x+1/2,-y+1/2,-z'
'-x+1/2,y+1/2,-z'
'x+1/2,-y+1/2,z'
loop_
_atom_site_label
_atom_site_fract_x
_atom_site_fract_y
_atom_site_fract_z
_atom_site_occupancy
Dy1 0.0000 0.0000 0.0000 1
Tl1 0.0844 0.5000 0.6374 1
Tl2 0.1927 0.5000 0.2526 1
Br1 0.0000 0.5000 0.0000 1
Br2 0.0754 0.0000 0.3523 1
Br3 0.1102 0.0000 0.8992 1
Br4 0.2234 0.5000 0.6707 1
```

Top 6 peaks for 2θ = 15–90°, low angle first:
Position (°2θ)  d/Å  I/Imax  hkl
20.42  4.350  54  3 1 0
22.41  3.968  47  2 0 -2
24.31  3.661  73  6 0 -1
28.21  3.163  100  3 1 -2
29.96  2.982  61  1 1 2
32.48  2.757  96  0 2 0